[1]
CeFe9B4: computed powder diffraction line list (Cu Ka), based on a DFT-relaxed cell (GGA-PBE, Alexandria).

Most intense lines, 2θ from 10° to 80°, in order of falling intensity:
hkl 3 1 2, 2θ = 42.3°, I 100; hkl 1 1 4, 2θ = 36.7°, I 34; hkl 2 4 0, 2θ = 56.2°, I 20; hkl 0 0 4, 2θ = 32.3°, I 19; hkl 3 1 4, 2θ = 51.4°, I 14; hkl 2 4 4, 2θ = 66.3°, I 12

Structure:
```
data_CeFe9B4
_cell_length_a 7.3227
_cell_length_b 7.3227
_cell_length_c 11.1018
_cell_angle_alpha 90.00
_cell_angle_beta 90.00
_cell_angle_gamma 90.00
_symmetry_space_group_name_H-M 'I 4/m'
_symmetry_Int_Tables_number 87
_symmetry_space_group_name_Hall '-I 4'
loop_
_atom_site_label
_atom_site_fract_x
_atom_site_fract_y
_atom_site_fract_z
Ce1 0.0000 0.0000 0.2468
Fe1 0.0000 0.5000 0.0000
Fe2 0.0881 0.1990 0.5000
Fe3 0.1059 0.1929 0.0000
Fe4 0.1215 0.6494 0.1780
B1 0.1300 0.6826 0.3641
```

***

[2]
Ce3Fe3B8: computed powder diffraction line list (Cu Ka), based on a DFT-relaxed cell (GGA-PBE, Alexandria).

Most intense lines, 2θ from 10° to 80°, in order of falling intensity:
hkl 1 2 3, 2θ = 41.8°, I 100; hkl 0 0 4, 2θ = 27.9°, I 61; hkl 1 1 0, 2θ = 30.5°, I 58; hkl 0 2 0, 2θ = 21.2°, I 49; hkl 0 2 4, 2θ = 35.3°, I 43; hkl 1 2 7, 2θ = 62.9°, I 36

Structure:
```
data_Ce3Fe3B8
_cell_length_a 3.1236
_cell_length_b 8.3907
_cell_length_c 12.7919
_cell_angle_alpha 90.00
_cell_angle_beta 90.00
_cell_angle_gamma 90.00
_symmetry_space_group_name_H-M 'I m m m'
_symmetry_Int_Tables_number 71
_symmetry_space_group_name_Hall '-I 2 2'
loop_
_atom_site_label
_atom_site_fract_x
_atom_site_fract_y
_atom_site_fract_z
Ce1 0.0000 0.0000 0.0000
Ce2 0.0000 0.0000 0.2709
Fe1 0.0000 0.1972 0.5000
Fe2 0.0000 0.5000 0.0000
B1 0.0000 0.2708 0.1173
B2 0.0000 0.3073 0.3646
```

***

[3]
CeFeB14: computed powder diffraction line list (Cu Ka), based on a DFT-relaxed cell (GGA-PBE, Alexandria).

Most intense lines, 2θ from 10° to 80°, in order of falling intensity:
hkl 0 2 0, 2θ = 16.6°, I 100; hkl 0 4 0, 2θ = 33.7°, I 89; hkl 1 1 2, 2θ = 27.6°, I 77; hkl 1 2 1, 2θ = 25.1°, I 66; hkl 2 3 1, 2θ = 41.5°, I 66; hkl 1 3 2, 2θ = 36.7°, I 54

Structure:
```
data_CeFeB14
_cell_length_a 5.8302
_cell_length_b 10.6500
_cell_length_c 8.3189
_cell_angle_alpha 90.00
_cell_angle_beta 90.00
_cell_angle_gamma 90.00
_symmetry_space_group_name_H-M 'I m m a'
_symmetry_Int_Tables_number 74
_symmetry_space_group_name_Hall '-I 2b 2'
loop_
_atom_site_label
_atom_site_fract_x
_atom_site_fract_y
_atom_site_fract_z
Ce1 0.0000 0.2500 0.1318
Fe1 0.2500 0.2500 0.7500
B1 0.0000 0.0882 0.6671
B2 0.0000 0.1357 0.8666
B3 0.0000 0.1663 0.4640
B4 0.1619 0.0585 0.3396
B5 0.2490 0.0791 0.5478
```